(1)
Diffraction record for Li2ScCuSi2Pt2. The XRD peak list is calculated, not measured: it uses a DFT-relaxed cell (GGA-PBE, OQMD) and CuKα.
Lines closer than 0.1° are merged.

Principal peaks in the range 5° ≤ 2θ ≤ 70°, most intense first:
- 41.76 deg, I = 100
- 25.65 deg, I = 84
- 30.69 deg, I = 68
- 27.63 deg, I = 45
- 43.95 deg, I = 44
- 52.71 deg, I = 30
- 51.58 deg, I = 27
- 47.67 deg, I = 17
- 66.19 deg, I = 16
- 63.90 deg, I = 14

Crystal structure
```
data_Li2ScCuSi2Pt2
_chemical_formula_sum 'Li2 Sc1 Cu1 Si2 Pt2'
_cell_length_a 4.120
_cell_length_b 4.120
_cell_length_c 6.456
_cell_angle_alpha 90.00
_cell_angle_beta 90.00
_cell_angle_gamma 90.00
_symmetry_space_group_name_H-M 'P -4 m 2'
_symmetry_Int_Tables_number 115
loop_
_symmetry_equiv_pos_as_xyz
'x,y,z'
'y,-x,-z'
'-x,-y,z'
'-y,x,-z'
'-x,y,z'
'-y,-x,-z'
'x,-y,z'
'y,x,-z'
loop_
_atom_site_label
_atom_site_type_symbol
_atom_site_fract_x
_atom_site_fract_y
_atom_site_fract_z
Li1 Li 0.000 0.500 0.226
Sc1 Sc 0.000 0.000 0.500
Cu1 Cu 0.500 0.500 0.000
Si1 Si 0.000 0.500 0.777
Pt1 Pt 0.000 0.000 0.000
Pt2 Pt 0.500 0.500 0.500
```

---

(2)
Diffraction record for LiHo2Re2. The XRD peak list is calculated, not measured: it uses a DFT-relaxed cell (GGA-PBE, OQMD) and CuKα.
Lines closer than 0.1° are merged.

Principal peaks in the range 5° ≤ 2θ ≤ 70°, most intense first:
- 41.74 deg, I = 100
- 11.63 deg, I = 99
- 36.12 deg, I = 76
- 23.92 deg, I = 54
- 48.96 deg, I = 38
- 33.70 deg, I = 35
- 35.40 deg, I = 34
- 61.85 deg, I = 28
- 60.75 deg, I = 13
- 43.17 deg, I = 13

Crystal structure
```
data_LiHo2Re2
_chemical_formula_sum 'Li1 Ho2 Re2'
_cell_length_a 3.721
_cell_length_b 3.721
_cell_length_c 7.607
_cell_angle_alpha 90.00
_cell_angle_beta 90.00
_cell_angle_gamma 90.00
_symmetry_space_group_name_H-M 'P 4/m m m'
_symmetry_Int_Tables_number 123
_symmetry_space_group_name_Hall '-P 4 2'
loop_
_atom_site_label
_atom_site_type_symbol
_atom_site_fract_x
_atom_site_fract_y
_atom_site_fract_z
Li1 Li 0.000 0.000 0.000
Ho1 Ho 0.500 0.500 0.207
Re1 Re 0.000 0.500 0.500
```

---

(3)
Diffraction record for Re7W5. The XRD peak list is calculated, not measured: it uses a DFT-relaxed cell (GGA-PBE, OQMD) and CuKα.
Lines closer than 0.1° are merged.

Principal peaks in the range 5° ≤ 2θ ≤ 70°, most intense first:
- 41.17 deg, I = 100
- 41.90 deg, I = 69
- 38.14 deg, I = 58
- 34.81 deg, I = 29
- 66.74 deg, I = 25
- 43.70 deg, I = 23
- 64.62 deg, I = 20
- 43.41 deg, I = 19
- 40.79 deg, I = 18
- 43.03 deg, I = 18

Crystal structure
```
data_Re7W5
_chemical_formula_sum 'Re14 W10'
_cell_length_a 5.1549
_cell_length_b 5.1549
_cell_length_c 16.6780
_cell_angle_alpha 90.00
_cell_angle_beta 90.00
_cell_angle_gamma 120.00
_symmetry_space_group_name_H-M 'P 63/m m c'
_symmetry_Int_Tables_number 194
_symmetry_space_group_name_Hall '-P 6c 2c'
loop_
_atom_site_label
_atom_site_type_symbol
_atom_site_fract_x
_atom_site_fract_y
_atom_site_fract_z
Re1 Re 0.0000 0.0000 0.0948
Re2 Re 0.1593 0.3185 0.2500
Re3 Re 0.3333 0.6667 0.6599
W1 W 0.0000 0.5000 0.0000
W2 W 0.3333 0.6667 0.1281
```

---

(4)
Diffraction record for BaGdSO. The XRD peak list is calculated, not measured: it uses a DFT-relaxed cell (GGA-PBE, OQMD) and CuKα.
Lines closer than 0.1° are merged.

Principal peaks in the range 5° ≤ 2θ ≤ 70°, most intense first:
- 25.05 deg, I = 100
- 30.35 deg, I = 92
- 28.16 deg, I = 63
- 30.05 deg, I = 56
- 36.04 deg, I = 38
- 34.32 deg, I = 38
- 48.99 deg, I = 38
- 50.86 deg, I = 29
- 53.17 deg, I = 26
- 25.49 deg, I = 25

Crystal structure
```
data_BaGdSO
_chemical_formula_sum 'Ba8 Gd8 S8 O8'
_cell_length_a 6.495
_cell_length_b 6.988
_cell_length_c 16.992
_cell_angle_alpha 90.00
_cell_angle_beta 90.00
_cell_angle_gamma 90.00
_symmetry_space_group_name_H-M 'P b c a'
_symmetry_Int_Tables_number 61
loop_
_symmetry_equiv_pos_as_xyz
'x,y,z'
'-x,-y,-z'
'-x+1/2,-y,z+1/2'
'x+1/2,y,-z+1/2'
'x+1/2,-y+1/2,-z'
'-x+1/2,y+1/2,z'
'-x,y+1/2,-z+1/2'
'x,-y+1/2,z+1/2'
loop_
_atom_site_label
_atom_site_type_symbol
_atom_site_fract_x
_atom_site_fract_y
_atom_site_fract_z
Ba1 Ba 0.136 0.189 0.072
Gd1 Gd 0.160 0.160 0.797
S1 S 0.145 0.061 0.417
O1 O 0.055 0.660 0.273
```

---

(5)
Diffraction record for Li8Au4O11. The XRD peak list is calculated, not measured: it uses a DFT-relaxed cell (GGA-PBE, OQMD) and CuKα.
Lines closer than 0.1° are merged.

Principal peaks in the range 5° ≤ 2θ ≤ 70°, most intense first:
- 18.42 deg, I = 100
- 36.04 deg, I = 29
- 19.09 deg, I = 23
- 34.40 deg, I = 23
- 33.46 deg, I = 22
- 43.19 deg, I = 22
- 34.67 deg, I = 22
- 42.32 deg, I = 22
- 19.89 deg, I = 22
- 40.77 deg, I = 20

Crystal structure
```
data_Li8Au4O11
_chemical_formula_sum 'Li8 Au4 O11'
_cell_length_a 5.132
_cell_length_b 5.307
_cell_length_c 9.307
_cell_angle_alpha 91.32
_cell_angle_beta 105.74
_cell_angle_gamma 101.91
_symmetry_space_group_name_H-M 'P 1'
_symmetry_Int_Tables_number 1
loop_
_symmetry_equiv_pos_as_xyz
'x,y,z'
loop_
_atom_site_label
_atom_site_type_symbol
_atom_site_fract_x
_atom_site_fract_y
_atom_site_fract_z
Li1 Li 0.000 0.000 0.000
Li2 Li 0.002 0.518 0.158
Li3 Li 0.021 0.522 0.867
Li4 Li 0.508 0.284 0.587
Li5 Li 0.530 0.791 0.085
Li6 Li 0.938 0.622 0.498
Li7 Li 0.944 0.042 0.322
Li8 Li 0.981 0.096 0.629
Au1 Au 0.431 0.796 0.408
Au2 Au 0.473 0.786 0.750
Au3 Au 0.485 0.307 0.262
Au4 Au 0.516 0.278 0.928
O1 O 0.193 0.962 0.504
O2 O 0.247 0.936 0.217
O3 O 0.262 0.414 0.745
O4 O 0.264 0.908 0.886
O5 O 0.276 0.383 0.051
O6 O 0.659 0.681 0.602
O7 O 0.690 0.679 0.297
O8 O 0.718 0.157 0.784
O9 O 0.769 0.255 0.452
O10 O 0.776 0.147 0.102
O11 O 0.784 0.621 0.985
```

---

(6)
Diffraction record for Y3Mg3Zn2Au. The XRD peak list is calculated, not measured: it uses a DFT-relaxed cell (GGA-PBE, OQMD) and CuKα.
Lines closer than 0.1° are merged.

Principal peaks in the range 5° ≤ 2θ ≤ 70°, most intense first:
- 34.90 deg, I = 100
- 42.49 deg, I = 42
- 23.48 deg, I = 36
- 41.27 deg, I = 34
- 25.45 deg, I = 34
- 32.03 deg, I = 32
- 27.18 deg, I = 32
- 66.04 deg, I = 27
- 61.71 deg, I = 20
- 43.75 deg, I = 20

Crystal structure
```
data_Y3Mg3Zn2Au
_chemical_formula_sum 'Y3 Mg3 Zn2 Au1'
_cell_length_a 7.5771
_cell_length_b 7.5771
_cell_length_c 4.1381
_cell_angle_alpha 90.00
_cell_angle_beta 90.00
_cell_angle_gamma 120.00
_symmetry_space_group_name_H-M 'P -6 2 m'
_symmetry_Int_Tables_number 189
_symmetry_space_group_name_Hall 'P -6 -2'
loop_
_atom_site_label
_atom_site_type_symbol
_atom_site_fract_x
_atom_site_fract_y
_atom_site_fract_z
Y1 Y 0.0000 0.5904 0.0000
Mg1 Mg 0.0000 0.2477 0.5000
Zn1 Zn 0.3333 0.6667 0.5000
Au1 Au 0.0000 0.0000 0.0000
```